Computed PXRD pattern of Sr5BiSb2 for Cu Kα X-rays, from a DFT-relaxed cell (PBE, Alexandria).

Crystal structure
Cell lengths 8.087, 8.087, 9.143 Å; angles 90.00, 90.00, 90.00 degrees
Space group I4mm (No. 107)
Symmetry-distinct sites (fractional):
1 Sr 0.000 0.000 0.000 (multiplicity 2)
2 Sr 0.233 0.233 0.298 (multiplicity 8)
3 Bi 0.000 0.000 0.635 (multiplicity 2)
4 Sb 0.000 0.500 0.024 (multiplicity 4)

Most intense lines, 2θ from 10° to 90°, by angle:
two_theta	I_rel
14.62	15.3
24.94	12.6
26.50	17.6
29.49	100.0
31.30	74.6
44.83	22.6
50.52	14.6
54.58	32.0

Computed PXRD pattern of Sr3BiSb for Cu Kα X-rays, from a DFT-relaxed cell (PBE, Alexandria).

Crystal structure
Cell lengths 10.905, 16.437, 4.731 Å; angles 90.00, 90.00, 90.00 degrees
Space group C222 (No. 21)
Symmetry-distinct sites (fractional):
1 Sr 0.000 0.143 0.000 (multiplicity 4)
2 Sr 0.183 0.383 0.499 (multiplicity 8)
3 Bi 0.000 0.000 0.500 (multiplicity 2)
4 Bi 0.000 0.500 0.000 (multiplicity 2)
5 Sb 0.250 0.250 0.999 (multiplicity 4)

Most intense lines, 2θ from 10° to 90°, by angle:
two_theta	I_rel
19.54	81.3
26.20	100.0
31.51	44.1
33.23	50.7
34.22	38.6
36.71	33.7
38.04	30.7
48.89	29.9

Computed PXRD pattern of Sr4BiSb2 for Cu Kα X-rays, from a DFT-relaxed cell (PBE, Alexandria).

Crystal structure
Cell lengths 10.539, 10.539, 10.498 Å; angles 90.00, 90.00, 90.00 degrees
Space group I4_1/amd (No. 141, origin choice 2)
Symmetry-distinct sites (fractional):
1 Sr 0.000 0.066 0.193 (multiplicity 16)
2 Bi 0.000 0.250 0.875 (multiplicity 4)
3 Sb 0.000 0.000 0.500 (multiplicity 8)

Most intense lines, 2θ from 10° to 90°, by angle:
two_theta	I_rel
16.82	36.1
20.67	40.2
26.83	93.7
31.79	100.0
34.03	35.1
40.17	27.8
42.10	29.9
43.85	21.6

Computed PXRD pattern of Tb6BiSb3 for Cu Kα X-rays, from a DFT-relaxed cell (PBE, Alexandria).

Crystal structure
Cell lengths 11.159, 14.846, 7.672 Å; angles 90.00, 90.00, 90.00 degrees
Space group Cmc2_1 (No. 36)
Symmetry-distinct sites (fractional):
1 Tb 0.000 0.002 0.000 (multiplicity 4)
2 Tb 0.000 0.250 0.870 (multiplicity 4)
3 Tb 0.172 0.450 0.899 (multiplicity 8)
4 Tb 0.196 0.277 0.501 (multiplicity 8)
5 Bi 0.000 0.174 0.248 (multiplicity 4)
6 Sb 0.000 0.417 0.591 (multiplicity 4)
7 Sb 0.182 0.100 0.730 (multiplicity 8)

Most intense lines, 2θ from 10° to 90°, by angle:
two_theta	I_rel
23.07	49.7
30.56	39.0
30.74	89.0
31.20	41.6
32.29	100.0
33.60	47.9
34.11	47.7
38.81	40.2

Computed PXRD pattern of Tb4BiSb2 for Cu Kα X-rays, from a DFT-relaxed cell (PBE, Alexandria).

Crystal structure
Cell lengths 9.559, 13.723, 13.744 Å; angles 90.00, 90.00, 90.00 degrees
Space group Fddd (No. 70, origin choice 2)
Symmetry-distinct sites (fractional):
1 Tb 0.057 0.282 0.468 (multiplicity 32)
2 Bi 0.125 0.125 0.625 (multiplicity 8)
3 Sb 0.000 0.000 0.000 (multiplicity 16)

Most intense lines, 2θ from 10° to 90°, by angle:
two_theta	I_rel
18.27	39.8
25.95	42.8
29.13	47.9
29.51	100.0
34.60	79.1
34.72	36.6
37.03	42.4
43.86	33.3

Computed PXRD pattern of BiSbTe3 for Cu Kα X-rays, from a DFT-relaxed cell (PBE, Alexandria).

Crystal structure
Cell lengths 4.3881, 4.3881, 31.5367 Å; angles 90.00, 90.00, 120.00 degrees
Space group R3m (No. 160, hexagonal axes)
Symmetry-distinct sites (fractional):
1 Bi 0.0000 0.0000 0.0000 (multiplicity 3)
2 Sb 0.0000 0.0000 0.2053 (multiplicity 3)
3 Te 0.0000 0.0000 0.3892 (multiplicity 3)
4 Te 0.0000 0.0000 0.6009 (multiplicity 3)
5 Te 0.0000 0.0000 0.8187 (multiplicity 3)

Most intense lines, 2θ from 10° to 90°, by angle:
two_theta	I_rel
27.40	100.0
37.04	35.4
41.14	36.6
50.14	19.0
56.55	10.4
61.04	11.1
66.80	16.1
72.28	10.1